BaTi6O13: theoretical X-ray diffraction stick pattern (λ = 1.5418 Å (Cu Kα)), based on DFT lattice parameters and positions (PBE).
Neutral-atom scattering factors, no anomalous dispersion.

Peak list (12 most intense, 10 to 90 degrees two-theta, low angle first)
d [Å], 2theta, I (rel.)
3.429, 25.98, 24
3.362, 26.51, 21
3.272, 27.26, 100
3.236, 27.57, 20
3.122, 28.59, 25
3.093, 28.86, 60
2.902, 30.81, 44
2.789, 32.10, 28
2.243, 40.20, 39
2.187, 41.28, 20
2.142, 42.19, 19
1.748, 52.34, 28

Structure:
```
BaTi6O13
1.0
7.569 0.000 0.000
3.722 6.653 0.000
2.669 1.964 9.447
Ba Ti O
2 12 26
Direct
0.176 0.033 0.132
0.824 0.967 0.868
0.093 0.154 0.503
0.183 0.371 0.751
0.252 0.509 0.280
0.293 0.537 0.982
0.368 0.724 0.504
0.418 0.914 0.770
0.582 0.086 0.230
0.632 0.276 0.496
0.707 0.463 0.018
0.748 0.491 0.720
0.817 0.629 0.249
0.907 0.846 0.497
0.049 0.413 0.375
0.063 0.673 0.142
0.101 0.874 0.600
0.133 0.539 0.872
0.191 0.711 0.376
0.223 0.150 0.640
0.238 0.828 0.892
0.331 0.988 0.389
0.347 0.290 0.139
0.372 0.130 0.852
0.381 0.445 0.608
0.444 0.582 0.117
0.485 0.277 0.365
0.515 0.723 0.635
0.556 0.418 0.883
0.619 0.555 0.392
0.628 0.870 0.148
0.653 0.710 0.861
0.669 0.012 0.611
0.762 0.172 0.108
0.777 0.850 0.360
0.809 0.289 0.624
0.867 0.461 0.128
0.899 0.126 0.400
0.937 0.327 0.858
0.951 0.587 0.625
```

=====

Pm2Nd2Se3S2: theoretical X-ray diffraction stick pattern (λ = 1.5418 Å (Cu Kα)), based on DFT lattice parameters and positions (PBE).
Neutral-atom scattering factors, no anomalous dispersion.

Peak list (12 most intense, 10 to 90 degrees two-theta, low angle first)
d [Å], 2theta, I (rel.)
3.610, 24.66, 50
3.540, 25.15, 36
2.872, 31.14, 100
2.699, 33.20, 13
2.581, 34.76, 31
2.248, 40.12, 56
2.031, 44.61, 37
1.920, 47.36, 25
1.770, 51.63, 27
1.436, 64.93, 12
1.285, 73.76, 16
1.210, 79.14, 15

Structure:
```
Pm2Nd2Se3S2
1.0
-2.872 2.872 7.221
2.872 -2.872 7.221
2.872 2.872 -7.221
Pm Nd Se S
2 2 3 2
Direct
0.000 0.500 0.500
0.500 0.000 0.500
0.215 0.215 0.000
0.785 0.785 0.000
0.000 0.000 0.000
0.250 0.750 0.500
0.750 0.250 0.500
0.403 0.403 0.000
0.597 0.597 0.000
```